(1)
For PrTl2InTe4, a GGA-PBE-relaxed structure gives the simulated powder diffraction line list in this record (Cu Kα (weighted mean of Kα1 and Kα2)).

Most intense lines, 2θ = 10–80°, sorted by position:
21.0 deg, intensity 11
26.2 deg, intensity 31
29.8 deg, intensity 49
31.4 deg, intensity 100
45.7 deg, intensity 14
48.0 deg, intensity 12
49.1 deg, intensity 11
53.9 deg, intensity 21
56.7 deg, intensity 14
75.1 deg, intensity 12

Structural model:
Cell: 8.4710 8.4710 7.7197 Å, 90.00 90.00 90.00°
Positions (direct):
Pr: 0.0000 0.0000 0.0000
Pr: 0.5000 0.5000 0.5000
Tl: 0.0000 0.5000 0.0000
Tl: 0.0000 0.5000 0.5000
Tl: 0.5000 0.0000 0.0000
Tl: 0.5000 0.0000 0.5000
In: 0.0000 0.0000 0.5000
In: 0.5000 0.5000 0.0000
Te: 0.1908 0.1908 0.7231
Te: 0.1908 0.8092 0.2769
Te: 0.3092 0.3092 0.2231
Te: 0.3092 0.6908 0.7769
Te: 0.6908 0.3092 0.7769
Te: 0.6908 0.6908 0.2231
Te: 0.8092 0.1908 0.2769
Te: 0.8092 0.8092 0.7231

***

(2)
For Ac6RhSe3S2, a GGA-PBE-relaxed structure gives the simulated powder diffraction line list in this record (Cu Kα (weighted mean of Kα1 and Kα2)).

Most intense lines, 2θ = 10–80°, sorted by position:
24.5 deg, intensity 13
24.7 deg, intensity 38
28.6 deg, intensity 100
40.7 deg, intensity 38
40.9 deg, intensity 26
41.0 deg, intensity 13
50.8 deg, intensity 14
59.1 deg, intensity 13
66.8 deg, intensity 11
67.1 deg, intensity 12

Structural model:
Cell: 7.6236 7.6236 7.6918 Å, 99.53 99.53 119.83°
Positions (direct):
Ac: 0.0781 0.4054 0.2350
Ac: 0.2487 0.2487 0.7634
Ac: 0.4054 0.0781 0.2350
Ac: 0.5946 0.9219 0.7650
Ac: 0.7513 0.7513 0.2366
Ac: 0.9219 0.5946 0.7650
Rh: 0.0000 0.0000 0.0000
Se: 0.1710 0.8290 0.5000
Se: 0.5000 0.5000 0.5000
Se: 0.8290 0.1710 0.5000
S: 0.3337 0.6663 0.0000
S: 0.6663 0.3337 0.0000

***

(3)
For LiTmHf2As4, a GGA-PBE-relaxed structure gives the simulated powder diffraction line list in this record (Cu Kα (weighted mean of Kα1 and Kα2)).

Most intense lines, 2θ = 10–80°, sorted by position:
13.5 deg, intensity 22
14.0 deg, intensity 12
28.2 deg, intensity 14
32.3 deg, intensity 100
32.5 deg, intensity 49
45.8 deg, intensity 56
46.9 deg, intensity 18
47.1 deg, intensity 35
58.2 deg, intensity 19
76.1 deg, intensity 16

Structural model:
Cell: 6.6735 3.8753 6.9085 Å, 90.00 108.61 90.00°
Positions (direct):
Li: 0.0000 0.0000 0.0000
Tm: 0.5000 0.5000 0.0000
Hf: 0.0000 0.5000 0.5000
Hf: 0.5000 0.0000 0.5000
As: 0.2407 0.0000 0.7399
As: 0.2501 0.5000 0.2615
As: 0.7499 0.5000 0.7385
As: 0.7593 0.0000 0.2601

***

(4)
For Zn2AgI6, a GGA-PBE-relaxed structure gives the simulated powder diffraction line list in this record (Cu Kα (weighted mean of Kα1 and Kα2)).

Most intense lines, 2θ = 10–80°, sorted by position:
17.5 deg, intensity 53
21.3 deg, intensity 24
24.8 deg, intensity 27
25.6 deg, intensity 18
26.5 deg, intensity 100
32.9 deg, intensity 31
43.5 deg, intensity 15
44.7 deg, intensity 19
44.7 deg, intensity 19
45.7 deg, intensity 16

Structural model:
Cell: 11.1185 11.1185 7.1890 Å, 108.83 108.83 97.47°
Positions (direct):
Zn: 0.1779 0.3206 0.3960
Zn: 0.3206 0.1779 0.8960
Zn: 0.6794 0.8221 0.1040
Zn: 0.8221 0.6794 0.6040
Ag: 0.2505 0.7495 0.7500
Ag: 0.7495 0.2505 0.2500
I: 0.0570 0.7711 0.9177
I: 0.1702 0.3277 0.7631
I: 0.2289 0.9430 0.5823
I: 0.2716 0.5556 0.4105
I: 0.3277 0.1702 0.2631
I: 0.4444 0.7284 0.0895
I: 0.5556 0.2716 0.9105
I: 0.6723 0.8298 0.7369
I: 0.7284 0.4444 0.5895
I: 0.7711 0.0570 0.4177
I: 0.8298 0.6723 0.2369
I: 0.9430 0.2289 0.0823

***

(5)
For TlCu5, a GGA-PBE-relaxed structure gives the simulated powder diffraction line list in this record (Cu Kα (weighted mean of Kα1 and Kα2)).

Most intense lines, 2θ = 10–80°, sorted by position:
15.7 deg, intensity 9
24.4 deg, intensity 11
33.8 deg, intensity 12
40.9 deg, intensity 100
46.9 deg, intensity 17
47.2 deg, intensity 17
48.5 deg, intensity 14
68.7 deg, intensity 10
69.7 deg, intensity 9
70.0 deg, intensity 9

Structural model:
Cell: 3.8514 11.2707 3.8729 Å, 90.00 90.00 90.00°
Positions (direct):
Tl: 0.0000 0.0000 0.0000
Tl: 0.5000 0.5000 0.0000
Cu: 0.0000 0.1771 0.5000
Cu: 0.0000 0.3235 0.0000
Cu: 0.0000 0.5000 0.5000
Cu: 0.0000 0.6765 0.0000
Cu: 0.0000 0.8229 0.5000
Cu: 0.5000 0.0000 0.5000
Cu: 0.5000 0.1765 0.0000
Cu: 0.5000 0.3229 0.5000
Cu: 0.5000 0.6771 0.5000
Cu: 0.5000 0.8235 0.0000

***

(6)
For Nd8ScCd2, a GGA-PBE-relaxed structure gives the simulated powder diffraction line list in this record (Cu Kα (weighted mean of Kα1 and Kα2)).

Most intense lines, 2θ = 10–80°, sorted by position:
26.8 deg, intensity 5
31.5 deg, intensity 100
32.2 deg, intensity 21
44.6 deg, intensity 7
45.6 deg, intensity 14
56.1 deg, intensity 18
56.9 deg, intensity 15
65.7 deg, intensity 9
74.0 deg, intensity 5
75.5 deg, intensity 4

Structural model:
Cell: 8.7879 8.7879 8.7528 Å, 117.96 117.96 36.93°
Positions (direct):
Nd: 0.0647 0.0647 0.2300
Nd: 0.1381 0.1381 0.6917
Nd: 0.3157 0.3157 0.5458
Nd: 0.4036 0.4036 0.0438
Nd: 0.5964 0.5964 0.9562
Nd: 0.6843 0.6843 0.4542
Nd: 0.8619 0.8619 0.3083
Nd: 0.9353 0.9353 0.7700
Sc: 0.5000 0.5000 0.5000
Cd: 0.2284 0.2284 0.1241
Cd: 0.7716 0.7716 0.8759